1.
# ScCoSnAu
Calculated powder XRD pattern, CuKα. Input: DFT lattice parameters and positions (GGA-PBE).
No peak broadening, texture or thermal motion is included.

Most intense lines, 10° ≤ 2θ ≤ 90°, low angle first:
d (Å)  2θ/deg  intensity  hkl
3.776  23.6  8.0  1 1 1
3.270  27.3  30.7  2 0 0
2.312  39.0  100.0  2 2 0
1.972  46.0  4.3  3 1 1
1.888  48.2  9.6  2 2 2
1.635  56.3  17.0  4 0 0
1.500  61.8  1.7  3 3 1
1.462  63.6  13.3  4 2 0
1.335  70.5  34.6  4 2 2
1.156  83.6  11.2  4 4 0

Structural model:
```
data_ScCoSnAu
_cell_length_a 6.540
_cell_length_b 6.540
_cell_length_c 6.540
_cell_angle_alpha 90.00
_cell_angle_beta 90.00
_cell_angle_gamma 90.00
_space_group_name_H-M_alt 'F -4 3 m'
_space_group_IT_number 216
_space_group_name_Hall 'F -4 2 3'
loop_
_atom_site_label
_atom_site_fract_x
_atom_site_fract_y
_atom_site_fract_z
Sc1 0.000 0.000 0.000
Co1 0.000 0.000 0.500
Sn1 0.250 0.250 0.250
Au1 0.250 0.250 0.750
```

---

2.
# Cs5Au4
Calculated powder XRD pattern, CuKα. Input: DFT lattice parameters and positions (GGA-PBE).
No peak broadening, texture or thermal motion is included.

Most intense lines, 10° ≤ 2θ ≤ 90°, low angle first:
d (Å)  2θ/deg  intensity  hkl
4.762  18.6  34.2  1 1 0
3.339  26.7  94.1  1 1 2
3.277  27.2  100.0  3 1 -1
3.198  27.9  74.0  1 1 -3
2.898  30.9  64.0  3 1 -3
2.749  32.6  66.3  3 1 1
2.614  34.3  97.5  0 2 0
2.539  35.4  39.2  4 0 1
2.528  35.5  29.5  3 1 -4
1.822  50.1  29.4  4 2 1

Structural model:
```
data_Cs5Au4
_cell_length_a 12.650
_cell_length_b 5.232
_cell_length_c 12.190
_cell_angle_alpha 90.00
_cell_angle_beta 114.60
_cell_angle_gamma 90.00
_space_group_name_H-M_alt 'C 1 2/m 1'
_space_group_IT_number 12
loop_
_space_group_symop_operation_xyz
'x,y,z'
'-x,-y,-z'
'-x,y,-z'
'x,-y,z'
'x+1/2,y+1/2,z'
'-x+1/2,-y+1/2,-z'
'-x+1/2,y+1/2,-z'
'x+1/2,-y+1/2,z'
loop_
_atom_site_label
_atom_site_fract_x
_atom_site_fract_y
_atom_site_fract_z
Cs1 0.000 0.000 0.000
Cs2 0.104 0.000 0.400
Cs3 0.248 0.500 0.173
Au1 0.057 0.500 0.829
Au2 0.108 0.500 0.614
```

---

3.
# CsAu2F7
Calculated powder XRD pattern, CuKα. Input: DFT lattice parameters and positions (GGA-PBE).
No peak broadening, texture or thermal motion is included.

Most intense lines, 10° ≤ 2θ ≤ 90°, low angle first:
d (Å)  2θ/deg  intensity  hkl
5.789  15.3  17.6  1 1 -1
3.845  23.1  100.0  0 2 1
3.505  25.4  22.4  2 0 -2
3.467  25.7  61.5  3 1 -1
3.202  27.9  37.8  1 1 -2
3.076  29.0  41.4  1 3 -1
2.917  30.6  33.2  3 1 0
2.510  35.8  28.5  3 3 -1
2.108  42.9  29.5  2 2 -3
1.684  54.5  20.7  2 0 -4

Structural model:
```
data_CsAu2F7
_cell_length_a 11.064
_cell_length_b 10.268
_cell_length_c 7.036
_cell_angle_alpha 90.00
_cell_angle_beta 124.42
_cell_angle_gamma 90.00
_space_group_name_H-M_alt 'C 1 2/c 1'
_space_group_IT_number 15
loop_
_space_group_symop_operation_xyz
'x,y,z'
'-x,-y,-z'
'-x,y,-z+1/2'
'x,-y,z+1/2'
'x+1/2,y+1/2,z'
'-x+1/2,-y+1/2,-z'
'-x+1/2,y+1/2,-z+1/2'
'x+1/2,-y+1/2,z+1/2'
loop_
_atom_site_label
_atom_site_fract_x
_atom_site_fract_y
_atom_site_fract_z
Cs1 0.000 0.196 0.250
Au1 0.189 0.391 0.852
F1 0.000 0.299 0.750
F2 0.123 0.034 0.043
F3 0.138 0.455 0.451
F4 0.240 0.234 0.752
```

---

4.
# CsFeTe2AuSe
Calculated powder XRD pattern, CuKα. Input: DFT lattice parameters and positions (GGA-PBE).
No peak broadening, texture or thermal motion is included.

Most intense lines, 10° ≤ 2θ ≤ 90°, low angle first:
d (Å)  2θ/deg  intensity  hkl
8.322  10.6  79.9  0 2 0
3.872  23.0  37.6  1 1 0
3.342  26.7  59.5  0 4 2
3.108  28.7  100.0  1 3 1
2.803  31.9  93.6  0 0 4
2.324  38.7  45.8  1 5 2
1.990  45.6  24.7  2 0 0
1.843  49.4  40.9  1 3 5
1.792  51.0  32.4  1 7 3
1.623  56.7  21.4  2 0 4

Structural model:
```
data_CsFeTe2AuSe
_cell_length_a 3.981
_cell_length_b 16.645
_cell_length_c 11.217
_cell_angle_alpha 90.00
_cell_angle_beta 90.00
_cell_angle_gamma 90.00
_space_group_name_H-M_alt 'C m c m'
_space_group_IT_number 63
_space_group_name_Hall '-C 2c 2'
loop_
_atom_site_label
_atom_site_fract_x
_atom_site_fract_y
_atom_site_fract_z
Cs1 0.000 0.249 0.250
Fe1 0.000 0.000 0.000
Te1 0.000 0.394 0.529
Au1 0.000 0.460 0.750
Se1 0.000 0.063 0.750
```

---

5.
# CsGe5Au3
Calculated powder XRD pattern, CuKα. Input: DFT lattice parameters and positions (GGA-PBE).
No peak broadening, texture or thermal motion is included.

Most intense lines, 10° ≤ 2θ ≤ 90°, low angle first:
d (Å)  2θ/deg  intensity  hkl
8.088  10.9  100.0  0 0 1
4.264  20.8  32.5  1 0 1
4.044  22.0  20.7  0 0 2
2.509  35.8  31.1  2 0 0
2.396  37.5  40.0  2 0 1
2.132  42.4  83.1  2 0 2
2.022  44.8  15.4  0 0 4
1.574  58.6  15.6  2 0 4
1.448  64.3  16.3  2 2 0
1.178  81.8  16.3  2 2 4

Structural model:
```
data_CsGe5Au3
_cell_length_a 5.7938
_cell_length_b 5.7938
_cell_length_c 8.0882
_cell_angle_alpha 90.00
_cell_angle_beta 90.00
_cell_angle_gamma 120.00
_space_group_name_H-M_alt 'P 6/m m m'
_space_group_IT_number 191
_space_group_name_Hall '-P 6 2'
loop_
_atom_site_label
_atom_site_fract_x
_atom_site_fract_y
_atom_site_fract_z
Cs1 0.0000 0.0000 0.0000
Ge1 0.0000 0.0000 0.5000
Ge2 0.3333 0.6667 0.2361
Au1 0.0000 0.5000 0.5000
```

---

6.
# Cs4Ge2Au7
Calculated powder XRD pattern, CuKα. Input: DFT lattice parameters and positions (GGA-PBE).
No peak broadening, texture or thermal motion is included.

Most intense lines, 10° ≤ 2θ ≤ 90°, low angle first:
d (Å)  2θ/deg  intensity  hkl
5.456  16.2  43.0  0 1 2
3.395  26.2  33.5  1 1 0
3.106  28.7  62.1  0 1 8
2.883  31.0  83.6  2 0 2
2.786  32.1  91.6  1 1 6
2.728  32.8  100.0  0 2 4
2.077  43.6  38.2  1 2 5
1.819  50.2  37.3  0 3 6
1.698  54.0  43.1  2 2 0
1.553  59.5  31.3  0 2 16

Structural model:
```
data_Cs4Ge2Au7
_cell_length_a 6.7902
_cell_length_b 6.7902
_cell_length_c 29.2640
_cell_angle_alpha 90.00
_cell_angle_beta 90.00
_cell_angle_gamma 120.00
_space_group_name_H-M_alt 'R -3 m'
_space_group_IT_number 166
_space_group_name_Hall '-R 3 2"'
loop_
_atom_site_label
_atom_site_fract_x
_atom_site_fract_y
_atom_site_fract_z
Cs1 0.0000 0.0000 0.1832
Cs2 0.0000 0.0000 0.3113
Ge1 0.0000 0.0000 0.0472
Au1 0.0000 0.0000 0.5000
Au2 0.0493 0.5247 0.2464
```